(1)
This entry pairs a crystal structure of HfSO6 with its computed X-ray diffraction stick pattern. Radiation: Cu Kα. Structure: a structure optimized by DFT (GGA-PBE).
No peak broadening, texture or thermal motion is included.

Main lines, sorted by position (2θ from 10° to 90°):
- 15.15 deg, I 18
- 15.66 deg, I 30
- 20.36 deg, I 100
- 21.81 deg, I 30
- 25.77 deg, I 25
- 31.55 deg, I 43
- 35.43 deg, I 29
- 48.18 deg, I 22
- 52.12 deg, I 15
- 58.72 deg, I 17

Atomic structure:
Unit cell a=11.321 b=5.680 c=6.830 alpha=90.00 beta=90.00 gamma=90.00
Space group Pnma (No. 62)
Inequivalent atoms, fractional coordinates:
Hf: 0.071 0.250 0.165
S: 0.143 0.750 0.452
O: 0.034 0.750 0.571
O: 0.054 0.001 0.934
O: 0.148 0.538 0.327
O: 0.246 0.750 0.583

---

(2)
This entry pairs a crystal structure of TiGe2 with its computed X-ray diffraction stick pattern. Radiation: Cu Kα. Structure: a structure optimized by DFT (GGA-PBE).
No peak broadening, texture or thermal motion is included.

Main lines, sorted by position (2θ from 10° to 90°):
- 37.16 deg, I 100
- 40.71 deg, I 38
- 40.89 deg, I 76
- 47.48 deg, I 49
- 64.28 deg, I 19
- 64.54 deg, I 19
- 68.21 deg, I 16
- 72.01 deg, I 13
- 74.22 deg, I 12
- 89.65 deg, I 15

Atomic structure:
Unit cell a=5.090 b=8.677 c=8.865 alpha=90.00 beta=90.00 gamma=90.00
Space group Fddd (No. 70, origin choice 2)
Inequivalent atoms, fractional coordinates:
Ti: 0.125 0.125 0.125
Ge: 0.125 0.293 0.625

---

(3)
This entry pairs a crystal structure of Tb5NiPb3 with its computed X-ray diffraction stick pattern. Radiation: Cu Kα. Structure: a structure optimized by DFT (GGA-PBE).
No peak broadening, texture or thermal motion is included.

Main lines, sorted by position (2θ from 10° to 90°):
- 26.53 deg, I 19
- 29.63 deg, I 17
- 32.55 deg, I 100
- 33.00 deg, I 82
- 33.71 deg, I 42
- 43.04 deg, I 19
- 47.89 deg, I 16
- 50.77 deg, I 29
- 64.68 deg, I 19
- 65.75 deg, I 12

Atomic structure:
Unit cell a=9.2105 b=9.2105 c=6.7205 alpha=90.00 beta=90.00 gamma=120.00
Space group P6_3/mcm (No. 193)
Inequivalent atoms, fractional coordinates:
Tb: 0.0000 0.2389 0.2500
Tb: 0.3333 0.6667 0.0000
Ni: 0.0000 0.0000 0.0000
Pb: 0.0000 0.3989 0.7500

---

(4)
This entry pairs a crystal structure of Bi8Pt5I3 with its computed X-ray diffraction stick pattern. Radiation: Cu Kα. Structure: a structure optimized by DFT (GGA-PBE).
No peak broadening, texture or thermal motion is included.

Main lines, sorted by position (2θ from 10° to 90°):
- 27.90 deg, I 24
- 30.60 deg, I 100
- 31.23 deg, I 27
- 34.37 deg, I 58
- 34.95 deg, I 31
- 37.75 deg, I 33
- 38.31 deg, I 52
- 45.24 deg, I 42
- 46.46 deg, I 24
- 55.98 deg, I 27

Atomic structure:
Unit cell a=18.629 b=4.009 c=13.688 alpha=90.00 beta=112.70 gamma=90.00
Space group C2/m (No. 12)
Inequivalent atoms, fractional coordinates:
Bi: 0.017 0.000 0.282
Bi: 0.104 0.500 0.979
Bi: 0.175 0.000 0.228
Bi: 0.182 0.000 0.527
Pt: 0.000 0.000 0.000
Pt: 0.053 0.500 0.158
Pt: 0.152 0.500 0.372
I: 0.000 0.500 0.500
I: 0.184 0.000 0.827

---

(5)
This entry pairs a crystal structure of DyAu3 with its computed X-ray diffraction stick pattern. Radiation: Cu Kα. Structure: a structure optimized by DFT (GGA-PBE).
No peak broadening, texture or thermal motion is included.

Main lines, sorted by position (2θ from 10° to 90°):
- 33.79 deg, I 30
- 35.43 deg, I 44
- 38.30 deg, I 100
- 39.10 deg, I 56
- 49.77 deg, I 20
- 61.60 deg, I 18
- 65.51 deg, I 21
- 66.06 deg, I 12
- 73.12 deg, I 24
- 73.86 deg, I 18

Atomic structure:
Unit cell a=5.068 b=6.179 c=5.173 alpha=90.00 beta=90.00 gamma=90.00
Space group Pmmn (No. 59, origin choice 2)
Inequivalent atoms, fractional coordinates:
Dy: 0.250 0.250 0.155
Au: 0.250 0.505 0.658
Au: 0.250 0.750 0.161

---

(6)
This entry pairs a crystal structure of Li3Pm with its computed X-ray diffraction stick pattern. Radiation: Cu Kα. Structure: a structure optimized by DFT (GGA-PBE).
No peak broadening, texture or thermal motion is included.

Main lines, sorted by position (2θ from 10° to 90°):
- 15.26 deg, I 40
- 23.27 deg, I 100
- 26.59 deg, I 47
- 30.80 deg, I 10
- 35.34 deg, I 10
- 35.62 deg, I 43
- 44.77 deg, I 23
- 45.00 deg, I 33
- 46.95 deg, I 10
- 60.30 deg, I 15

Atomic structure:
Unit cell a=6.7040 b=6.7040 c=5.0797 alpha=90.00 beta=90.00 gamma=120.00
Space group P6_3/mmc (No. 194)
Inequivalent atoms, fractional coordinates:
Li: 0.1481 0.2962 0.2500
Pm: 0.3333 0.6667 0.7500